Record 1
Diffraction record for Pm12HoSc7. The powder diffractogram is computed, not measured: it uses a DFT-relaxed cell (PBE, Alexandria) and a wavelength of 1.5418 Å.
Intensities are scaled so that the largest is 100.

The 10 most intense peaks (2θ from 10° to 90°), sorted by position:
| h k l | Position (°2θ) | intensity |
| --- | --- | --- |
| 1 2 2 | 25.92 | 25 |
| 1 3 1 | 26.65 | 42 |
| 4 0 1 | 29.29 | 21 |
| 2 -1 3 | 30.05 | 51 |
| 3 1 2 | 31.11 | 29 |
| 4 1 0 | 31.93 | 100 |
| 3 0 3 | 34.68 | 39 |
| 4 -2 3 | 36.80 | 36 |
| 3 5 1 | 50.63 | 17 |
| 2 5 3 | 52.69 | 20 |

Structural model:
a = 14.8301 Å, b = 14.8301 Å, c = 9.7387 Å
α = 90.00°, β = 90.00°, γ = 120.00°
Space group R-3 (No. 148, hexagonal axes)
One atom of each set of equivalent atoms:
Pm 0.0406 0.8464 0.2551 (multiplicity 18)
Pm 0.0436 0.7872 0.5816 (multiplicity 18)
Ho 0.0000 0.0000 0.0000 (multiplicity 3)
Sc 0.0000 0.0000 0.5000 (multiplicity 3)
Sc 0.0705 0.8268 0.9288 (multiplicity 18)



Record 2
Diffraction record for SrLa2Lu. The powder diffractogram is computed, not measured: it uses a DFT-relaxed cell (PBE, Alexandria) and a wavelength of 1.5418 Å.
Intensities are scaled so that the largest is 100.

The 10 most intense peaks (2θ from 10° to 90°), sorted by position:
| h k l | Position (°2θ) | intensity |
| --- | --- | --- |
| 1 1 1 | 18.11 | 5 |
| 2 2 0 | 29.79 | 100 |
| 3 1 1 | 35.08 | 3 |
| 4 0 0 | 42.63 | 19 |
| 3 3 1 | 46.67 | 2 |
| 4 2 2 | 52.87 | 40 |
| 4 4 0 | 61.87 | 12 |
| 6 2 0 | 70.17 | 17 |
| 4 4 4 | 78.04 | 4 |
| 6 4 2 | 85.70 | 20 |

Structural model:
a = 8.483 Å, b = 8.483 Å, c = 8.483 Å
α = 90.00°, β = 90.00°, γ = 90.00°
Space group Fm-3m (No. 225)
One atom of each set of equivalent atoms:
Sr 0.000 0.000 0.000 (multiplicity 4)
La 0.250 0.250 0.250 (multiplicity 8)
Lu 0.000 0.000 0.500 (multiplicity 4)



Record 3
Diffraction record for Hf2ZnRe. The powder diffractogram is computed, not measured: it uses a DFT-relaxed cell (PBE, Alexandria) and a wavelength of 1.5418 Å.
Intensities are scaled so that the largest is 100.

The 10 most intense peaks (2θ from 10° to 90°), sorted by position:
| h k l | Position (°2θ) | intensity |
| --- | --- | --- |
| 0 0 1 | 13.62 | 15 |
| 1 0 1 | 30.17 | 4 |
| 1 1 0 | 38.24 | 52 |
| 1 0 2 | 38.72 | 100 |
| 2 0 0 | 55.20 | 18 |
| 0 0 4 | 56.62 | 8 |
| 2 1 2 | 69.45 | 36 |
| 1 1 4 | 70.39 | 17 |
| 2 2 0 | 81.86 | 6 |
| 2 0 4 | 83.05 | 11 |

Structural model:
a = 3.328 Å, b = 3.328 Å, c = 6.502 Å
α = 90.00°, β = 90.00°, γ = 90.00°
Space group P4/mmm (No. 123)
One atom of each set of equivalent atoms:
Hf 0.000 0.000 0.241 (multiplicity 2)
Zn 0.500 0.500 0.500 (multiplicity 1)
Re 0.500 0.500 0.000 (multiplicity 1)